No. 1
Starting from the PBE geometry in Alexandria, the X-ray powder pattern of V3Co3N was computed for Cu Ka.
Intensities are scaled so that the largest is 100.

Cell and atoms:
Cell lengths 7.535, 7.535, 7.535 Å; angles 60.00, 60.00, 60.00 degrees
Fractional positions:
V  0.068  0.068  0.682
V  0.068  0.682  0.068
V  0.068  0.682  0.682
V  0.318  0.318  0.932
V  0.318  0.932  0.318
V  0.318  0.932  0.932
V  0.682  0.068  0.068
V  0.682  0.068  0.682
V  0.682  0.682  0.068
V  0.932  0.318  0.318
V  0.932  0.318  0.932
V  0.932  0.932  0.318
Co  0.000  0.500  0.500
Co  0.290  0.290  0.290
Co  0.290  0.290  0.630
Co  0.290  0.630  0.290
Co  0.370  0.710  0.710
Co  0.500  0.000  0.500
Co  0.500  0.500  0.000
Co  0.500  0.500  0.500
Co  0.630  0.290  0.290
Co  0.710  0.370  0.710
Co  0.710  0.710  0.370
Co  0.710  0.710  0.710
N  0.000  0.000  0.000
N  0.000  0.000  0.500
N  0.000  0.500  0.000
N  0.500  0.000  0.000

Largest 10 diffraction maxima, in order of rising 2θ, 5° ≤ 2θ ≤ 70°:
- 14.40°, rel. 16.3
- 36.76°, rel. 4.9
- 41.51°, rel. 27.2
- 44.16°, rel. 100.0
- 48.31°, rel. 35.4
- 50.68°, rel. 4.3
- 51.45°, rel. 12.0
- 57.35°, rel. 6.4
- 62.21°, rel. 2.2
- 67.51°, rel. 4.2

---

No. 2
Starting from the PBE geometry in Alexandria, the X-ray powder pattern of Np4U3Se8 was computed for Cu Ka.
Intensities are scaled so that the largest is 100.

Cell and atoms:
Cell lengths 8.106, 8.106, 8.119 Å; angles 119.85, 119.85, 90.05 degrees
Fractional positions:
Np  0.000  0.000  0.000
Np  0.000  0.500  0.000
Np  0.500  0.000  0.000
Np  0.500  0.500  0.500
U  0.000  0.500  0.500
U  0.500  0.000  0.500
U  0.500  0.500  0.000
Se  0.243  0.243  0.985
Se  0.244  0.244  0.502
Se  0.244  0.756  0.500
Se  0.250  0.750  0.000
Se  0.750  0.250  0.000
Se  0.756  0.244  0.500
Se  0.756  0.756  0.498
Se  0.757  0.757  0.015

Largest 10 diffraction maxima, in order of rising 2θ, 5° ≤ 2θ ≤ 70°:
- 13.35°, rel. 12.6
- 26.89°, rel. 52.9
- 31.03°, rel. 50.7
- 31.21°, rel. 100.0
- 44.59°, rel. 75.7
- 44.72°, rel. 37.5
- 52.72°, rel. 9.3
- 52.96°, rel. 18.4
- 55.43°, rel. 40.1
- 65.10°, rel. 12.5

---

No. 3
Starting from the PBE geometry in Alexandria, the X-ray powder pattern of Sm8Dy2Y was computed for Cu Ka.
Intensities are scaled so that the largest is 100.

Cell and atoms:
Cell lengths 6.715, 6.715, 9.292 Å; angles 103.55, 103.55, 67.22 degrees
Fractional positions:
Sm  0.149  0.713  0.723
Sm  0.175  0.175  0.625
Sm  0.187  0.187  0.999
Sm  0.287  0.851  0.277
Sm  0.713  0.149  0.723
Sm  0.813  0.813  0.001
Sm  0.825  0.825  0.375
Sm  0.851  0.287  0.277
Dy  0.358  0.358  0.374
Dy  0.642  0.642  0.626
Y  0.500  0.500  0.000

Largest 10 diffraction maxima, in order of rising 2θ, 5° ≤ 2θ ≤ 70°:
- 29.23°, rel. 53.9
- 29.38°, rel. 88.6
- 29.80°, rel. 39.0
- 30.04°, rel. 100.0
- 31.33°, rel. 70.8
- 31.82°, rel. 31.5
- 32.02°, rel. 64.2
- 32.46°, rel. 67.4
- 32.77°, rel. 63.3
- 58.98°, rel. 32.9

---

No. 4
Starting from the PBE geometry in Alexandria, the X-ray powder pattern of SmPd4Au5 was computed for Cu Ka.
Intensities are scaled so that the largest is 100.

Cell and atoms:
Cell lengths 6.982, 6.982, 7.443 Å; angles 120.04, 120.04, 38.18 degrees
Fractional positions:
Sm  0.000  0.000  0.000
Pd  0.189  0.189  0.449
Pd  0.459  0.459  0.721
Pd  0.541  0.541  0.279
Pd  0.811  0.811  0.551
Au  0.000  0.000  0.500
Au  0.313  0.313  0.899
Au  0.335  0.335  0.288
Au  0.665  0.665  0.712
Au  0.687  0.687  0.101

Largest 10 diffraction maxima, in order of rising 2θ, 5° ≤ 2θ ≤ 70°:
- 23.93°, rel. 17.2
- 30.95°, rel. 56.7
- 37.48°, rel. 35.6
- 38.87°, rel. 97.8
- 39.47°, rel. 64.6
- 40.11°, rel. 100.0
- 44.07°, rel. 17.6
- 48.82°, rel. 19.7
- 55.56°, rel. 22.9
- 64.51°, rel. 18.2

---

No. 5
Starting from the PBE geometry in Alexandria, the X-ray powder pattern of Zr6HPb2 was computed for Cu Ka.
Intensities are scaled so that the largest is 100.

Cell and atoms:
Cell lengths 6.446, 6.446, 6.446 Å; angles 121.56, 121.56, 87.31 degrees
Fractional positions:
Zr  0.248  0.248  0.496
Zr  0.248  0.752  0.000
Zr  0.250  0.250  0.000
Zr  0.750  0.750  0.000
Zr  0.752  0.248  0.000
Zr  0.752  0.752  0.504
H  0.500  0.500  0.000
Pb  0.250  0.750  0.500
Pb  0.750  0.250  0.500

Largest 10 diffraction maxima, in order of rising 2θ, 5° ≤ 2θ ≤ 70°:
- 19.03°, rel. 5.1
- 19.95°, rel. 9.2
- 27.71°, rel. 9.1
- 34.38°, rel. 100.0
- 38.61°, rel. 18.3
- 40.55°, rel. 31.8
- 57.23°, rel. 23.0
- 58.68°, rel. 10.6
- 67.16°, rel. 14.1
- 69.81°, rel. 25.2

---

No. 6
Starting from the PBE geometry in Alexandria, the X-ray powder pattern of Sm6MgZn was computed for Cu Ka.
Intensities are scaled so that the largest is 100.

Cell and atoms:
Cell lengths 6.242, 6.247, 6.262 Å; angles 93.70, 93.86, 93.95 degrees
Fractional positions:
Sm  0.030  0.258  0.059
Sm  0.242  0.942  0.467
Sm  0.442  0.469  0.742
Sm  0.558  0.531  0.258
Sm  0.758  0.058  0.533
Sm  0.970  0.742  0.941
Mg  0.500  0.000  0.000
Zn  0.000  0.500  0.500

Largest 10 diffraction maxima, in order of rising 2θ, 5° ≤ 2θ ≤ 70°:
- 20.91°, rel. 14.1
- 26.54°, rel. 14.2
- 31.22°, rel. 100.0
- 33.08°, rel. 30.1
- 33.17°, rel. 18.4
- 34.83°, rel. 19.5
- 34.95°, rel. 36.0
- 37.47°, rel. 10.4
- 51.16°, rel. 12.3
- 53.08°, rel. 18.6

---

No. 7
Starting from the PBE geometry in Alexandria, the X-ray powder pattern of Er8AsP4S3 was computed for Cu Ka.
Intensities are scaled so that the largest is 100.

Cell and atoms:
Cell lengths 7.904, 7.904, 7.904 Å; angles 59.93, 59.93, 59.93 degrees
Fractional positions:
Er  0.247  0.247  0.247
Er  0.247  0.747  0.747
Er  0.253  0.253  0.753
Er  0.253  0.753  0.253
Er  0.747  0.247  0.747
Er  0.747  0.747  0.247
Er  0.753  0.253  0.253
Er  0.753  0.753  0.753
As  0.000  0.000  0.000
P  0.000  0.000  0.500
P  0.000  0.500  0.000
P  0.500  0.000  0.000
P  0.500  0.500  0.500
S  0.000  0.500  0.500
S  0.500  0.000  0.500
S  0.500  0.500  0.000

Largest 10 diffraction maxima, in order of rising 2θ, 5° ≤ 2θ ≤ 70°:
- 26.46°, rel. 0.7
- 27.66°, rel. 75.6
- 32.05°, rel. 100.0
- 35.01°, rel. 1.1
- 41.99°, rel. 0.8
- 45.95°, rel. 72.5
- 54.48°, rel. 36.3
- 57.12°, rel. 25.2
- 64.00°, rel. 0.9
- 67.01°, rel. 11.6

---

No. 8
Starting from the PBE geometry in Alexandria, the X-ray powder pattern of AlGa4Ni was computed for Cu Ka.
Intensities are scaled so that the largest is 100.

Cell and atoms:
Cell lengths 6.612, 6.612, 6.612 Å; angles 123.01, 123.01, 84.86 degrees
Fractional positions:
Al  0.000  0.000  0.000
Al  0.500  0.500  0.000
Ga  0.010  0.510  0.804
Ga  0.207  0.010  0.500
Ga  0.293  0.793  0.804
Ga  0.490  0.293  0.500
Ga  0.510  0.707  0.500
Ga  0.707  0.207  0.196
Ga  0.793  0.990  0.500
Ga  0.990  0.490  0.196
Ni  0.250  0.250  0.000
Ni  0.750  0.750  0.000

Largest 10 diffraction maxima, in order of rising 2θ, 5° ≤ 2θ ≤ 70°:
- 18.18°, rel. 26.1
- 33.05°, rel. 100.0
- 36.84°, rel. 14.3
- 40.44°, rel. 10.8
- 42.21°, rel. 41.0
- 42.41°, rel. 99.3
- 45.46°, rel. 64.8
- 47.09°, rel. 29.1
- 66.25°, rel. 8.6
- 67.66°, rel. 10.3

---

No. 9
Starting from the PBE geometry in Alexandria, the X-ray powder pattern of Tl2Ge2S5 was computed for Cu Ka.
Intensities are scaled so that the largest is 100.

Cell and atoms:
Cell lengths 10.904, 10.904, 9.008 Å; angles 99.73, 99.73, 90.00 degrees
Fractional positions:
Tl  0.062  0.207  0.102
Tl  0.205  0.453  0.621
Tl  0.207  0.062  0.602
Tl  0.453  0.205  0.121
Tl  0.547  0.795  0.879
Tl  0.793  0.938  0.398
Tl  0.795  0.547  0.379
Tl  0.938  0.793  0.898
Ge  0.133  0.730  0.390
Ge  0.267  0.529  0.100
Ge  0.270  0.867  0.110
Ge  0.471  0.733  0.400
Ge  0.529  0.267  0.600
Ge  0.730  0.133  0.890
Ge  0.733  0.471  0.900
Ge  0.867  0.270  0.610
S  0.009  0.245  0.469
S  0.112  0.541  0.243
S  0.113  0.887  0.250
S  0.244  0.679  0.952
S  0.245  0.009  0.969
S  0.245  0.349  0.954
S  0.321  0.756  0.548
S  0.349  0.245  0.454
S  0.456  0.544  0.250
S  0.459  0.888  0.257
S  0.541  0.112  0.743
S  0.544  0.456  0.750
S  0.651  0.755  0.546
S  0.679  0.244  0.452
S  0.755  0.651  0.046
S  0.755  0.991  0.031
S  0.756  0.321  0.048
S  0.887  0.113  0.750
S  0.888  0.459  0.757
S  0.991  0.755  0.531

Largest 10 diffraction maxima, in order of rising 2θ, 5° ≤ 2θ ≤ 70°:
- 19.13°, rel. 31.4
- 20.57°, rel. 97.6
- 23.07°, rel. 33.7
- 23.24°, rel. 51.0
- 23.77°, rel. 41.5
- 25.21°, rel. 100.0
- 28.48°, rel. 37.9
- 30.42°, rel. 56.8
- 32.47°, rel. 31.4
- 50.22°, rel. 32.2

---

No. 10
Starting from the PBE geometry in Alexandria, the X-ray powder pattern of Ca2In5Sn5 was computed for Cu Ka.
Intensities are scaled so that the largest is 100.

Cell and atoms:
Cell lengths 5.090, 6.574, 11.091 Å; angles 75.55, 78.92, 68.06 degrees
Fractional positions:
Ca  0.095  0.097  0.252
Ca  0.905  0.903  0.748
In  0.000  0.500  0.000
In  0.175  0.664  0.493
In  0.227  0.275  0.728
In  0.773  0.725  0.272
In  0.825  0.336  0.507
Sn  0.324  0.867  0.975
Sn  0.416  0.478  0.221
Sn  0.500  0.000  0.500
Sn  0.584  0.522  0.779
Sn  0.676  0.133  0.025

Largest 10 diffraction maxima, in order of rising 2θ, 5° ≤ 2θ ≤ 70°:
- 32.21°, rel. 100.0
- 32.76°, rel. 75.1
- 33.07°, rel. 73.8
- 33.22°, rel. 91.4
- 33.58°, rel. 70.7
- 35.29°, rel. 78.3
- 44.58°, rel. 31.6
- 48.56°, rel. 24.6
- 50.45°, rel. 21.4
- 58.59°, rel. 27.0

---

No. 11
Starting from the PBE geometry in Alexandria, the X-ray powder pattern of CeNi12B6 was computed for Cu Ka.
Intensities are scaled so that the largest is 100.

Cell and atoms:
Cell lengths 6.034, 6.034, 6.034 Å; angles 104.53, 104.53, 104.53 degrees
Fractional positions:
Ce  0.000  0.000  0.000
Ni  0.131  0.500  0.869
Ni  0.131  0.869  0.500
Ni  0.187  0.454  0.454
Ni  0.454  0.187  0.454
Ni  0.454  0.454  0.187
Ni  0.500  0.131  0.869
Ni  0.500  0.869  0.131
Ni  0.546  0.546  0.813
Ni  0.546  0.813  0.546
Ni  0.813  0.546  0.546
Ni  0.869  0.131  0.500
Ni  0.869  0.500  0.131
B  0.234  0.234  0.667
B  0.234  0.667  0.234
B  0.333  0.766  0.766
B  0.667  0.234  0.234
B  0.766  0.333  0.766
B  0.766  0.766  0.333

Largest 10 diffraction maxima, in order of rising 2θ, 5° ≤ 2θ ≤ 70°:
- 31.09°, rel. 7.1
- 32.52°, rel. 43.2
- 41.26°, rel. 100.0
- 46.65°, rel. 13.3
- 49.69°, rel. 17.9
- 50.63°, rel. 7.1
- 54.44°, rel. 7.5
- 58.00°, rel. 16.8
- 61.47°, rel. 12.5
- 64.02°, rel. 7.8

---

Please write out number 3 again, unchanged.
Starting from the PBE geometry in Alexandria, the X-ray powder pattern of Sm8Dy2Y was computed for Cu Ka.
Intensities are scaled so that the largest is 100.

Cell and atoms:
Cell lengths 6.715, 6.715, 9.292 Å; angles 103.55, 103.55, 67.22 degrees
Fractional positions:
Sm  0.149  0.713  0.723
Sm  0.175  0.175  0.625
Sm  0.187  0.187  0.999
Sm  0.287  0.851  0.277
Sm  0.713  0.149  0.723
Sm  0.813  0.813  0.001
Sm  0.825  0.825  0.375
Sm  0.851  0.287  0.277
Dy  0.358  0.358  0.374
Dy  0.642  0.642  0.626
Y  0.500  0.500  0.000

Largest 10 diffraction maxima, in order of rising 2θ, 5° ≤ 2θ ≤ 70°:
- 29.23°, rel. 53.9
- 29.38°, rel. 88.6
- 29.80°, rel. 39.0
- 30.04°, rel. 100.0
- 31.33°, rel. 70.8
- 31.82°, rel. 31.5
- 32.02°, rel. 64.2
- 32.46°, rel. 67.4
- 32.77°, rel. 63.3
- 58.98°, rel. 32.9